Entry 1:
Calculated XRD peak list
Compound: MgV6O5F19
Radiation: Cu Kα (weighted mean of Kα1 and Kα2)
Structure: a structure optimized by DFT (PBE+U)

Structural model:
```
data_MgV6O5F19
_space_group_name_H-M_alt 'P 1'
_space_group_IT_number 1
_cell_length_a 5.189
_cell_length_b 5.463
_cell_length_c 15.822
_cell_angle_alpha 81.24
_cell_angle_beta 89.22
_cell_angle_gamma 88.60
loop_
_space_group_symop_operation_xyz
'x,y,z'
loop_
_atom_site_label
_atom_site_type_symbol
_atom_site_fract_x
_atom_site_fract_y
_atom_site_fract_z
_atom_site_occupancy
Mg1 Mg 0.000 0.000 0.000 1
V1 V 0.035 0.175 0.557 1
V2 V 0.502 0.272 0.222 1
V3 V 0.502 0.946 0.866 1
V4 V 0.545 0.673 0.545 1
V5 V 0.948 0.765 0.226 1
V6 V 0.971 0.477 0.870 1
O1 O 0.204 0.395 0.584 1
O2 O 0.682 0.684 0.850 1
O3 O 0.724 0.010 0.204 1
O4 O 0.772 0.525 0.206 1
O5 O 0.774 0.865 0.518 1
F1 F 0.092 0.844 0.109 1
F2 F 0.110 0.183 0.447 1
F3 F 0.149 0.538 0.775 1
F4 F 0.168 0.752 0.916 1
F5 F 0.219 0.058 0.241 1
F6 F 0.259 0.200 0.917 1
F7 F 0.268 0.558 0.241 1
F8 F 0.290 0.905 0.581 1
F9 F 0.340 0.054 0.770 1
F10 F 0.378 0.679 0.448 1
F11 F 0.428 0.348 0.110 1
F12 F 0.566 0.237 0.334 1
F13 F 0.602 0.567 0.655 1
F14 F 0.645 0.914 0.982 1
F15 F 0.725 0.372 0.521 1
F16 F 0.782 0.189 0.840 1
F17 F 0.875 0.057 0.654 1
F18 F 0.887 0.359 0.986 1
F19 F 0.924 0.729 0.338 1
```

Main lines, in order of falling intensity (2θ = 5–70°):
17.0 deg, I 100
25.0 deg, I 38
25.6 deg, I 36
25.3 deg, I 35
24.8 deg, I 34
32.8 deg, I 13
52.7 deg, I 10
49.0 deg, I 10
49.7 deg, I 10
39.0 deg, I 9

Entry 2:
Calculated XRD peak list
Compound: MgV4O4F8
Radiation: Cu Kα (weighted mean of Kα1 and Kα2)
Structure: a structure optimized by DFT (PBE+U)

Structural model:
```
data_MgV4O4F8
_space_group_name_H-M_alt 'P 1'
_space_group_IT_number 1
_cell_length_a 5.216
_cell_length_b 5.222
_cell_length_c 9.528
_cell_angle_alpha 76.07
_cell_angle_beta 75.05
_cell_angle_gamma 61.72
loop_
_space_group_symop_operation_xyz
'x,y,z'
loop_
_atom_site_label
_atom_site_type_symbol
_atom_site_fract_x
_atom_site_fract_y
_atom_site_fract_z
_atom_site_occupancy
Mg1 Mg 0.000 0.000 0.000 1
V1 V 0.176 0.097 0.683 1
V2 V 0.372 0.334 0.947 1
V3 V 0.582 0.552 0.212 1
V4 V 0.879 0.826 0.450 1
O1 O 0.155 0.269 0.838 1
O2 O 0.260 0.606 0.329 1
O3 O 0.501 0.042 0.571 1
O4 O 0.618 0.330 0.076 1
F1 F 0.083 0.863 0.583 1
F2 F 0.330 0.723 0.836 1
F3 F 0.352 0.945 0.080 1
F4 F 0.668 0.795 0.315 1
F5 F 0.775 0.081 0.835 1
F6 F 0.859 0.205 0.318 1
F7 F 0.903 0.448 0.580 1
F8 F 0.981 0.609 0.072 1
```

Main lines, in order of falling intensity (2θ = 5–70°):
23.4 deg, I 100
23.0 deg, I 99
24.0 deg, I 98
32.6 deg, I 41
39.3 deg, I 38
53.8 deg, I 27
60.4 deg, I 27
47.0 deg, I 24
33.1 deg, I 24
47.8 deg, I 23

Entry 3:
Calculated XRD peak list
Compound: MgV4O7F5
Radiation: Cu Kα (weighted mean of Kα1 and Kα2)
Structure: a structure optimized by DFT (PBE+U)

Structural model:
```
data_MgV4O7F5
_space_group_name_H-M_alt 'P 1'
_space_group_IT_number 1
_cell_length_a 5.168
_cell_length_b 5.267
_cell_length_c 9.252
_cell_angle_alpha 74.29
_cell_angle_beta 89.43
_cell_angle_gamma 60.67
loop_
_space_group_symop_operation_xyz
'x,y,z'
loop_
_atom_site_label
_atom_site_type_symbol
_atom_site_fract_x
_atom_site_fract_y
_atom_site_fract_z
_atom_site_occupancy
Mg1 Mg 0.000 0.000 0.000 1
V1 V 0.153 0.774 0.384 1
V2 V 0.364 0.265 0.115 1
V3 V 0.645 0.744 0.882 1
V4 V 0.970 0.253 0.614 1
O1 O 0.007 0.609 0.013 1
O2 O 0.066 0.490 0.450 1
O3 O 0.282 0.050 0.265 1
O4 O 0.320 0.990 0.706 1
O5 O 0.377 0.025 0.981 1
O6 O 0.609 0.427 0.967 1
O7 O 0.960 0.010 0.487 1
F1 F 0.376 0.543 0.227 1
F2 F 0.524 0.552 0.515 1
F3 F 0.792 0.075 0.781 1
F4 F 0.832 0.977 0.203 1
F5 F 0.892 0.542 0.729 1
```

Main lines, in order of falling intensity (2θ = 5–70°):
23.9 deg, I 100
23.7 deg, I 55
34.0 deg, I 34
48.9 deg, I 25
48.4 deg, I 17
55.1 deg, I 14
33.0 deg, I 11
33.7 deg, I 10
40.2 deg, I 10
55.2 deg, I 9

Entry 4:
Calculated XRD peak list
Compound: MgV4O7F5
Radiation: Cu Kα (weighted mean of Kα1 and Kα2)
Structure: a structure optimized by DFT (PBE+U)

Structural model:
```
data_MgV4O7F5
_space_group_name_H-M_alt 'P 1'
_space_group_IT_number 1
_cell_length_a 5.149
_cell_length_b 5.335
_cell_length_c 8.913
_cell_angle_alpha 72.59
_cell_angle_beta 74.94
_cell_angle_gamma 62.66
loop_
_space_group_symop_operation_xyz
'x,y,z'
loop_
_atom_site_label
_atom_site_type_symbol
_atom_site_fract_x
_atom_site_fract_y
_atom_site_fract_z
_atom_site_occupancy
Mg1 Mg 0.000 0.000 0.000 1
V1 V 0.257 0.022 0.591 1
V2 V 0.457 0.261 0.844 1
V3 V 0.650 0.561 0.100 1
V4 V 0.982 0.756 0.368 1
O1 O 0.126 0.912 0.443 1
O2 O 0.184 0.362 0.481 1
O3 O 0.250 0.696 0.167 1
O4 O 0.262 0.077 0.790 1
O5 O 0.612 0.400 0.940 1
O6 O 0.620 0.835 0.534 1
O7 O 0.700 0.866 0.978 1
F1 F 0.109 0.310 0.029 1
F2 F 0.217 0.641 0.732 1
F3 F 0.744 0.128 0.220 1
F4 F 0.753 0.599 0.287 1
F5 F 0.770 0.179 0.673 1
```

Main lines, in order of falling intensity (2θ = 5–70°):
23.8 deg, I 100
23.6 deg, I 98
24.5 deg, I 94
33.7 deg, I 47
40.1 deg, I 32
48.7 deg, I 26
32.9 deg, I 21
48.3 deg, I 21
50.2 deg, I 21
62.6 deg, I 16